1.
Simulated powder X-ray diffraction pattern
Compound: NaCe2C2N6
Radiation: copper Kα
Structure: a crystal structure in Alexandria, relaxed with GGA-PBE
No peak broadening, texture or thermal motion is included.

The 10 most intense peaks (2θ from 10° to 90°), low angle first:
d (Å), 2theta, I (rel.)
5.332, 16.62, 59
4.686, 18.94, 100
4.470, 19.86, 47
4.283, 20.74, 70
3.549, 25.09, 66
3.311, 26.93, 90
3.039, 29.39, 65
2.891, 30.93, 84
2.446, 36.75, 47
1.777, 51.43, 53

Structure:
Cell: 5.3300 5.5536 6.2584 Å, 113.69 102.73 104.98°
Fractional coordinates of all 11 atoms:
Na 0.0000 0.0000 0.0000
Ce 0.2657 0.3831 0.6636
Ce 0.7343 0.6169 0.3364
C 0.2489 0.7180 0.2664
C 0.7511 0.2820 0.7336
N 0.1449 0.9227 0.3440
N 0.2317 0.5404 0.3681
N 0.3669 0.6853 0.0919
N 0.6331 0.3147 0.9081
N 0.7683 0.4596 0.6319
N 0.8551 0.0773 0.6560

***

2.
Simulated powder X-ray diffraction pattern
Compound: Ce6Sn2CN
Radiation: copper Kα
Structure: a crystal structure in Alexandria, relaxed with GGA-PBE
No peak broadening, texture or thermal motion is included.

The 9 most intense peaks (2θ from 10° to 90°), low angle first:
d (Å), 2theta, I (rel.)
4.935, 17.97, 1
2.849, 31.40, 100
2.468, 36.41, 55
1.745, 52.44, 39
1.488, 62.41, 43
1.425, 65.52, 13
1.234, 77.34, 6
1.132, 85.83, 18
1.104, 88.63, 18

Structure:
Cell: 4.9347 4.9347 9.8710 Å, 90.00 90.00 90.00°
Fractional coordinates of all 10 atoms:
Ce 0.0000 0.0000 0.2482
Ce 0.0000 0.0000 0.7518
Ce 0.0000 0.5000 0.0000
Ce 0.0000 0.5000 0.5000
Ce 0.5000 0.0000 0.0000
Ce 0.5000 0.0000 0.5000
Sn 0.5000 0.5000 0.2494
Sn 0.5000 0.5000 0.7506
C 0.0000 0.0000 0.5000
N 0.0000 0.0000 0.0000

***

3.
Simulated powder X-ray diffraction pattern
Compound: CeThCN
Radiation: copper Kα
Structure: a crystal structure in Alexandria, relaxed with GGA-PBE
No peak broadening, texture or thermal motion is included.

The 10 most intense peaks (2θ from 10° to 90°), low angle first:
d (Å), 2theta, I (rel.)
3.011, 29.67, 100
2.623, 34.18, 46
2.578, 34.80, 22
1.855, 49.11, 16
1.839, 49.58, 32
1.579, 58.43, 32
1.559, 59.26, 15
1.506, 61.60, 17
1.194, 80.46, 13
1.173, 82.16, 7

Structure:
Cell: 3.7099 3.7099 5.1559 Å, 90.00 90.00 90.00°
Fractional coordinates of all 4 atoms:
Ce 0.0000 0.0000 0.0000
Th 0.5000 0.5000 0.5000
C 0.0000 0.0000 0.5000
N 0.5000 0.5000 0.0000

***

4.
Simulated powder X-ray diffraction pattern
Compound: Na2CePCO7
Radiation: copper Kα
Structure: a crystal structure in Alexandria, relaxed with GGA-PBE
No peak broadening, texture or thermal motion is included.

The 10 most intense peaks (2θ from 10° to 90°), low angle first:
d (Å), 2theta, I (rel.)
5.715, 15.51, 58
4.594, 19.32, 31
4.227, 21.02, 70
3.569, 24.95, 62
3.528, 25.24, 100
3.342, 26.67, 39
2.819, 31.74, 53
2.719, 32.94, 43
2.623, 34.19, 31
2.383, 37.74, 28

Structure:
Cell: 5.2453 7.1377 9.5372 Å, 90.00 90.18 90.00°
Fractional coordinates of all 24 atoms:
Na 0.2483 0.0088 0.1989
Na 0.2483 0.4912 0.1989
Na 0.7517 0.5088 0.8011
Na 0.7517 0.9912 0.8011
Ce 0.2862 0.2500 0.6038
Ce 0.7138 0.7500 0.3962
P 0.2095 0.7500 0.5930
P 0.7905 0.2500 0.4070
C 0.2590 0.2500 0.9067
C 0.7410 0.7500 0.0933
O 0.0568 0.2500 0.8233
O 0.0772 0.2500 0.3669
O 0.2184 0.7500 0.4279
O 0.2400 0.2500 0.0388
O 0.3518 0.5735 0.6464
O 0.3518 0.9265 0.6464
O 0.4793 0.2500 0.8413
O 0.5207 0.7500 0.1587
O 0.6482 0.0735 0.3536
O 0.6482 0.4265 0.3536
O 0.7600 0.7500 0.9612
O 0.7816 0.2500 0.5721
O 0.9228 0.7500 0.6331
O 0.9432 0.7500 0.1767

***

5.
Simulated powder X-ray diffraction pattern
Compound: Ce3NdC8
Radiation: copper Kα
Structure: a crystal structure in Alexandria, relaxed with GGA-PBE
No peak broadening, texture or thermal motion is included.

The 10 most intense peaks (2θ from 10° to 90°), low angle first:
d (Å), 2theta, I (rel.)
3.257, 27.39, 100
3.185, 28.02, 34
2.679, 33.44, 53
2.050, 44.17, 39
1.895, 48.02, 18
1.852, 49.19, 29
1.638, 56.16, 29
1.628, 56.52, 19
1.325, 71.19, 19
1.122, 86.84, 11

Structure:
Cell: 3.7894 3.7894 12.7398 Å, 90.00 90.00 90.00°
Fractional coordinates of all 12 atoms:
Ce 0.0000 0.0000 0.0000
Ce 0.5000 0.5000 0.2476
Ce 0.5000 0.5000 0.7524
Nd 0.0000 0.0000 0.5000
C 0.0000 0.0000 0.1961
C 0.0000 0.0000 0.2989
C 0.0000 0.0000 0.7011
C 0.0000 0.0000 0.8039
C 0.5000 0.5000 0.0516
C 0.5000 0.5000 0.4489
C 0.5000 0.5000 0.5511
C 0.5000 0.5000 0.9484

***

6.
Simulated powder X-ray diffraction pattern
Compound: CeNdC
Radiation: copper Kα
Structure: a crystal structure in Alexandria, relaxed with GGA-PBE
No peak broadening, texture or thermal motion is included.

The 10 most intense peaks (2θ from 10° to 90°), low angle first:
d (Å), 2theta, I (rel.)
6.558, 13.50, 12
3.279, 27.19, 26
3.125, 28.56, 19
2.821, 31.71, 100
2.262, 39.85, 27
1.804, 50.58, 20
1.791, 50.98, 22
1.581, 58.37, 19
1.520, 60.95, 15
1.163, 83.08, 13

Structure:
Cell: 3.6089 3.6089 6.5583 Å, 90.00 90.00 120.00°
Fractional coordinates of all 3 atoms:
Ce 0.0000 0.0000 0.0000
Nd 0.6667 0.3333 0.4329
C 0.3333 0.6667 0.1968

***

7.
Simulated powder X-ray diffraction pattern
Compound: Ce2NdReC4
Radiation: copper Kα
Structure: a crystal structure in Alexandria, relaxed with GGA-PBE
No peak broadening, texture or thermal motion is included.

The 10 most intense peaks (2θ from 10° to 90°), low angle first:
d (Å), 2theta, I (rel.)
3.148, 28.35, 51
3.038, 29.40, 44
3.011, 29.66, 100
2.954, 30.26, 20
2.656, 33.75, 21
2.621, 34.20, 21
2.466, 36.44, 94
2.186, 41.29, 24
1.813, 50.33, 20
1.788, 51.08, 26

Structure:
Cell: 6.3338 6.3338 12.5940 Å, 90.00 90.00 147.22°
Fractional coordinates of all 16 atoms:
Ce 0.1306 0.8694 0.5395
Ce 0.1306 0.8694 0.9605
Ce 0.8694 0.1306 0.0395
Ce 0.8694 0.1306 0.4605
Nd 0.3997 0.6003 0.7500
Nd 0.6003 0.3997 0.2500
Re 0.3359 0.6641 0.2500
Re 0.6641 0.3359 0.7500
C 0.0825 0.9175 0.7500
C 0.2381 0.7619 0.1315
C 0.2381 0.7619 0.3685
C 0.5000 0.5000 0.0000
C 0.5000 0.5000 0.5000
C 0.7619 0.2381 0.6315
C 0.7619 0.2381 0.8685
C 0.9175 0.0825 0.2500

***

8.
Simulated powder X-ray diffraction pattern
Compound: CeNdCS
Radiation: copper Kα
Structure: a crystal structure in Alexandria, relaxed with GGA-PBE
No peak broadening, texture or thermal motion is included.

The 10 most intense peaks (2θ from 10° to 90°), low angle first:
d (Å), 2theta, I (rel.)
3.185, 28.01, 100
2.776, 32.24, 33
2.750, 32.56, 64
1.954, 46.48, 47
1.944, 46.72, 23
1.671, 54.94, 16
1.660, 55.36, 32
1.593, 57.90, 24
1.267, 74.93, 13
1.124, 86.58, 16

Structure:
Cell: 3.8886 3.8886 5.5527 Å, 90.00 90.00 90.00°
Fractional coordinates of all 4 atoms:
Ce 0.0000 0.0000 0.0000
Nd 0.5000 0.5000 0.5000
C 0.5000 0.5000 0.0000
S 0.0000 0.0000 0.5000

***

9.
Simulated powder X-ray diffraction pattern
Compound: Ce4Ni13C4
Radiation: copper Kα
Structure: a crystal structure in Alexandria, relaxed with GGA-PBE
No peak broadening, texture or thermal motion is included.

The 10 most intense peaks (2θ from 10° to 90°), low angle first:
d (Å), 2theta, I (rel.)
2.721, 32.92, 70
2.706, 33.10, 36
2.658, 33.72, 25
2.380, 37.79, 45
2.209, 40.85, 25
2.197, 41.08, 100
2.053, 44.12, 36
2.040, 44.41, 23
1.953, 46.51, 47
1.415, 66.04, 21

Structure:
Cell: 8.4380 8.4380 3.9053 Å, 90.00 90.00 90.75°
Fractional coordinates of all 21 atoms:
Ce 0.1845 0.8155 0.0000
Ce 0.3485 0.3485 0.0000
Ce 0.6515 0.6515 0.0000
Ce 0.8155 0.1845 0.0000
Ni 0.0000 0.0000 0.5000
Ni 0.0000 0.5000 0.0000
Ni 0.0720 0.2910 0.5000
Ni 0.1242 0.1242 0.0000
Ni 0.2137 0.5712 0.5000
Ni 0.2910 0.0720 0.5000
Ni 0.4288 0.7863 0.5000
Ni 0.5000 0.0000 0.0000
Ni 0.5712 0.2137 0.5000
Ni 0.7090 0.9280 0.5000
Ni 0.7863 0.4288 0.5000
Ni 0.8758 0.8758 0.0000
Ni 0.9280 0.7090 0.5000
C 0.0000 0.5000 0.5000
C 0.4428 0.5572 0.5000
C 0.5000 0.0000 0.5000
C 0.5572 0.4428 0.5000

***

10.
Simulated powder X-ray diffraction pattern
Compound: Ce4CO4
Radiation: copper Kα
Structure: a crystal structure in Alexandria, relaxed with GGA-PBE
No peak broadening, texture or thermal motion is included.

The 10 most intense peaks (2θ from 10° to 90°), low angle first:
d (Å), 2theta, I (rel.)
3.201, 27.87, 100
2.808, 31.87, 25
2.705, 33.12, 12
1.986, 45.69, 15
1.948, 46.62, 29
1.688, 54.37, 27
1.642, 56.02, 14
1.601, 57.58, 9
1.265, 75.08, 11
1.139, 85.18, 8

Structure:
Cell: 6.7107 6.7107 6.7107 Å, 130.52 130.52 72.58°
Fractional coordinates of all 9 atoms:
Ce 0.1106 0.6488 0.0000
Ce 0.3512 0.3512 0.4619
Ce 0.6488 0.1106 0.0000
Ce 0.8894 0.8894 0.5381
C 0.0000 0.0000 0.0000
O 0.0000 0.5000 0.5000
O 0.2657 0.2657 0.0000
O 0.5000 0.0000 0.5000
O 0.7343 0.7343 0.0000

***

11.
Simulated powder X-ray diffraction pattern
Compound: CeC2O6
Radiation: copper Kα
Structure: a crystal structure in Alexandria, relaxed with GGA-PBE
No peak broadening, texture or thermal motion is included.

The 10 most intense peaks (2θ from 10° to 90°), low angle first:
d (Å), 2theta, I (rel.)
5.134, 17.27, 100
4.024, 22.09, 29
3.167, 28.18, 76
2.877, 31.09, 39
2.845, 31.44, 35
2.116, 42.72, 25
2.023, 44.80, 55
1.891, 48.12, 21
1.873, 48.61, 19
1.426, 65.43, 16

Structure:
Cell: 6.5950 6.5950 6.5950 Å, 104.81 104.81 119.27°
Fractional coordinates of all 18 atoms:
Ce 0.0000 0.0000 0.0000
Ce 0.7500 0.2500 0.5000
C 0.1934 0.1250 0.5684
C 0.3750 0.8066 0.9316
C 0.5566 0.6250 0.4316
C 0.8750 0.4434 0.0684
O 0.0313 0.1250 0.4063
O 0.1626 0.6249 0.7440
O 0.1686 0.1310 0.7560
O 0.3751 0.1190 0.5377
O 0.3749 0.4126 0.2440
O 0.3750 0.9687 0.0937
O 0.5814 0.8374 0.4623
O 0.5874 0.8314 0.9623
O 0.7187 0.6250 0.5937
O 0.8690 0.6251 0.0377
O 0.8750 0.2813 0.9063
O 0.8810 0.4186 0.2560

***

12.
Simulated powder X-ray diffraction pattern
Compound: Ce3CO
Radiation: copper Kα
Structure: a crystal structure in Alexandria, relaxed with GGA-PBE
No peak broadening, texture or thermal motion is included.

The 10 most intense peaks (2θ from 10° to 90°), low angle first:
d (Å), 2theta, I (rel.)
2.998, 29.80, 100
2.597, 34.54, 11
2.323, 38.77, 40
1.963, 46.25, 25
1.642, 55.99, 25
1.566, 58.99, 16
1.440, 64.72, 22
1.341, 70.19, 6
1.191, 80.64, 19
1.133, 85.72, 8

Structure:
Cell: 7.3447 7.3447 7.3447 Å, 90.00 90.00 90.00°
Fractional coordinates of all 20 atoms:
Ce 0.0023 0.2523 0.3743
Ce 0.1257 0.9977 0.7523
Ce 0.2477 0.6257 0.5023
Ce 0.2523 0.3743 0.0023
Ce 0.3743 0.0023 0.2523
Ce 0.4977 0.7477 0.8743
Ce 0.5023 0.2477 0.6257
Ce 0.6257 0.5023 0.2477
Ce 0.7477 0.8743 0.4977
Ce 0.7523 0.1257 0.9977
Ce 0.8743 0.4977 0.7477
Ce 0.9977 0.7523 0.1257
C 0.0770 0.0770 0.0770
C 0.4230 0.9230 0.5770
C 0.5770 0.4230 0.9230
C 0.9230 0.5770 0.4230
O 0.1614 0.6614 0.8386
O 0.3386 0.3386 0.3386
O 0.6614 0.8386 0.1614
O 0.8386 0.1614 0.6614